# Rb2B2AsS6
Theoretical powder X-ray diffraction pattern, Cu Kα, 1.54184 Å. Input: DFT lattice parameters and positions (PBE).

```
data_Rb2B2AsS6
_chemical_formula_sum 'Rb4 B4 As2 S12'
_space_group_name_H-M_alt 'C 1 2/m 1'
_space_group_IT_number 12
_cell_length_a 13.8814
_cell_length_b 6.3372
_cell_length_c 7.7733
_cell_angle_alpha 90.00
_cell_angle_beta 115.24
_cell_angle_gamma 90.00
loop_
_space_group_symop_operation_xyz
'x,y,z'
'-x,-y,-z'
'-x,y,-z'
'x,-y,z'
'x+1/2,y+1/2,z'
'-x+1/2,-y+1/2,-z'
'-x+1/2,y+1/2,-z'
'x+1/2,-y+1/2,z'
loop_
_atom_site_label
_atom_site_fract_x
_atom_site_fract_y
_atom_site_fract_z
_atom_site_occupancy
Rb1 0.1839 0.0000 0.2082 1
B1 0.0116 0.5000 0.3002 1
As1 0.0000 0.0000 0.5000 1
S1 0.0714 0.2591 0.7494 1
S2 0.1443 0.5000 0.3311 1
```

Principal peaks in the range 10° ≤ 2θ ≤ 90°, sorted by position:
| d/Å | I/Imax | hkl |
| --- | --- | --- |
| 4.044 | 39 | 1 1 1 |
| 3.925 | 31 | 2 0 1 |
| 3.695 | 78 | 3 1 -1 |
| 3.516 | 49 | 0 0 2 |
| 3.469 | 100 | 4 0 -1 |
| 3.282 | 41 | 1 1 -2 |
| 3.087 | 44 | 3 1 -2 |
| 2.465 | 81 | 2 2 1 |
| 2.444 | 52 | 2 2 -2 |
| 2.331 | 63 | 1 1 -3 |